# Hf5Si3
Simulated powder X-ray diffraction pattern, copper Kα. Input: DFT lattice parameters and positions (GGA-PBE).
Neutral-atom scattering factors, no anomalous dispersion.

Top 6 peaks for 5° ≤ 2θ ≤ 70°, sorted by position:
2θ (°)  d/Å  Rel. int.
29.84  2.994  42
34.31  2.613  22
36.35  2.471  100
39.10  2.304  30
41.38  2.182  42
59.61  1.551  18

Cell lengths 7.8814, 7.8814, 7.8814 Å; angles 128.08, 128.08, 76.50 degrees
Fractional positions:
Hf 0.0000 0.0000 0.0000
Hf 0.0139 0.5139 0.8266
Hf 0.1873 0.0139 0.5000
Hf 0.3127 0.8127 0.8266
Hf 0.4861 0.3127 0.5000
Hf 0.5000 0.5000 0.0000
Hf 0.5139 0.6873 0.5000
Hf 0.6873 0.1873 0.1734
Hf 0.8127 0.9861 0.5000
Hf 0.9861 0.4861 0.1734
Si 0.1305 0.3695 0.5000
Si 0.2500 0.2500 0.0000
Si 0.3695 0.8695 0.2390
Si 0.6305 0.1305 0.7610
Si 0.7500 0.7500 0.0000
Si 0.8695 0.6305 0.5000